Calculated PXRD pattern
Compound: Li2FeCo3O8
Radiation: λ = 1.5418 Å (Cu Kα)
Structure: a structure optimized by DFT (GGA+U)
No peak broadening, texture or thermal motion is included.

Cell: 5.7744 5.8112 10.2021 Å, 73.53 73.58 60.44°
Sites, in units of the cell vectors:
Li1 0.0532 0.0634 0.3172
Li2 0.4359 0.4471 0.1841
Li3 0.5641 0.5529 0.8159
Li4 0.9468 0.9366 0.6828
Fe1 0.2528 0.2475 0.7495
Fe2 0.7472 0.7525 0.2505
Co1 0.0000 0.0000 0.0000
Co2 0.0000 0.5000 0.0000
Co3 0.0000 0.5000 0.5000
Co4 0.5000 0.0000 0.0000
Co5 0.5000 0.0000 0.5000
Co6 0.5000 0.5000 0.5000
O1 0.0960 0.6593 0.1134
O2 0.1367 0.1208 0.1048
O3 0.1613 0.1284 0.6138
O4 0.1610 0.5942 0.6156
O5 0.3554 0.8964 0.8938
O6 0.3639 0.3681 0.3985
O7 0.3741 0.3375 0.8855
O8 0.3961 0.8536 0.3959
O9 0.6039 0.1464 0.6041
O10 0.6259 0.6625 0.1145
O11 0.6361 0.6319 0.6015
O12 0.6446 0.1036 0.1062
O13 0.8390 0.4058 0.3844
O14 0.8387 0.8716 0.3862
O15 0.8633 0.8792 0.8952
O16 0.9040 0.3407 0.8866

Peak list (8 most intense, 2θ from 10° to 90°, low angle first)
2theta  Rel. int.  (hkl)
18.41  70.6  0 0 2
18.59  55.1  0 1 1
18.73  100.0  1 0 1
35.82  25.9  1 0 -3
36.04  35.8  1 -1 2
36.28  25.5  2 1 3
43.71  39.6  0 2 -2
43.95  78.2  2 2 4

***

Calculated PXRD pattern
Compound: K2Al4Fe5Si5H4O24
Radiation: λ = 1.5418 Å (Cu Kα)
Structure: a structure optimized by DFT (GGA+U)
No peak broadening, texture or thermal motion is included.

Cell: 6.6562 7.7956 11.4951 Å, 78.35 83.76 78.02°
Sites, in units of the cell vectors:
K1 0.0000 0.0000 0.0000
K2 0.1687 0.3797 0.4569
Al1 0.0536 0.0264 0.2723
Al2 0.3257 0.2273 0.0597
Al3 0.3620 0.7483 0.3760
Al4 0.5878 0.0433 0.2679
Fe1 0.2792 0.2847 0.8143
Fe2 0.4257 0.9757 0.5980
Fe3 0.6045 0.9132 0.8758
Fe4 0.7078 0.5509 0.3111
Fe5 0.9815 0.5873 0.9742
Si1 0.4403 0.5852 0.0467
Si2 0.5817 0.5824 0.7884
Si3 0.7663 0.1796 0.4584
Si4 0.9205 0.9212 0.6958
Si5 0.9414 0.2439 0.7487
H1 0.4965 0.7023 0.1185
H2 0.5129 0.2750 0.6328
H3 0.8407 0.3877 0.1471
H4 0.9575 0.7693 0.5505
O1 0.0935 0.0612 0.6667
O2 0.1057 0.3445 0.9783
O3 0.1162 0.8012 0.3261
O4 0.2055 0.6772 0.0115
O5 0.3095 0.0924 0.2049
O6 0.3793 0.4986 0.7971
O7 0.3810 0.8292 0.5061
O8 0.3902 0.2212 0.6550
O9 0.4076 0.0933 0.9467
O10 0.4388 0.5321 0.3385
O11 0.4729 0.3718 0.0906
O12 0.5408 0.7985 0.7336
O13 0.5676 0.1406 0.3981
O14 0.6065 0.8076 0.3007
O15 0.6230 0.6062 0.9295
O16 0.7466 0.0301 0.5856
O17 0.7545 0.3882 0.4687
O18 0.7739 0.1084 0.7842
O19 0.7869 0.4492 0.7387
O20 0.8251 0.0878 0.1923
O21 0.8546 0.5099 0.1513
O22 0.9123 0.7947 0.8405
O23 0.9936 0.1368 0.3918
O24 0.9993 0.7433 0.6320

Peak list (8 most intense, 2θ from 10° to 90°, low angle first)
2theta  Rel. int.  (hkl)
12.93  47.5  0 1 1
15.78  48.6  0 0 2
19.43  44.2  1 1 -1
24.55  100.0  0 1 3
26.13  46.4  1 -1 2
27.77  44.2  2 1 0
33.68  45.0  2 2 2
35.32  56.6  2 0 3